[1]
This entry pairs a crystal structure of LaCeGe4Pt4 with its simulated powder X-ray diffraction pattern. Radiation: Cu Kα (weighted mean of Kα1 and Kα2). Structure: the PBE geometry in the Materials Project.

The 10 most intense peaks (10 to 90 degrees two-theta), low angle first:
Position (°2θ)  I (rel.)
27.0  140
30.1  337
33.7  653
33.9  1000
41.0  805
46.5  390
49.9  161
54.1  253
59.4  268
70.2  134

Atomic structure:
Cell: 4.400 4.399 10.035 Å, 90.00 90.15 90.00°
Fractional positions:
1 La 0.000 0.000 0.000
2 Ce 0.501 0.500 0.496
3 Ge 0.014 0.500 0.251
4 Ge 0.488 0.500 0.880
5 Ge 0.515 0.000 0.252
6 Ge 0.985 0.000 0.618
7 Pt 0.016 0.000 0.374
8 Pt 0.484 0.000 0.745
9 Pt 0.513 0.500 0.128
10 Pt 0.986 0.500 0.747

[2]
This entry pairs a crystal structure of TmGa3Os with its simulated powder X-ray diffraction pattern. Radiation: Cu Kα (weighted mean of Kα1 and Kα2). Structure: the PBE geometry in the Materials Project.

The 10 most intense peaks (10 to 90 degrees two-theta), low angle first:
Position (°2θ)  I (rel.)
19.6  144
27.9  182
34.3  110
39.9  1000
44.8  74
49.3  72
57.6  146
65.2  125
72.4  270
85.9  79

Atomic structure:
Cell: 6.398 6.398 6.398 Å, 90.00 90.00 90.00°
Fractional positions:
1 Tm 0.000 0.000 0.500
2 Tm 0.000 0.500 0.000
3 Tm 0.500 0.000 0.000
4 Ga 0.000 0.000 0.000
5 Ga 0.286 0.286 0.286
6 Ga 0.286 0.286 0.714
7 Ga 0.286 0.714 0.286
8 Ga 0.286 0.714 0.714
9 Ga 0.714 0.286 0.286
10 Ga 0.714 0.286 0.714
11 Ga 0.714 0.714 0.286
12 Ga 0.714 0.714 0.714
13 Os 0.000 0.500 0.500
14 Os 0.500 0.000 0.500
15 Os 0.500 0.500 0.000

[3]
This entry pairs a crystal structure of Mg3SbO4 with its simulated powder X-ray diffraction pattern. Radiation: Cu Kα (weighted mean of Kα1 and Kα2). Structure: the PBE geometry in the Materials Project.

The 10 most intense peaks (10 to 90 degrees two-theta), low angle first:
Position (°2θ)  I (rel.)
19.3  794
27.4  679
33.7  500
39.1  1000
44.0  377
48.4  283
56.5  618
60.3  182
67.4  240
70.9  195

Atomic structure:
Cell: 4.606 4.606 4.606 Å, 90.00 90.00 90.00°
Fractional positions:
1 Mg 0.000 0.000 0.500
2 Mg 0.000 0.500 0.000
3 Mg 0.500 0.000 0.000
4 Sb 0.500 0.500 0.500
5 O 0.000 0.000 0.000
6 O 0.000 0.500 0.500
7 O 0.500 0.000 0.500
8 O 0.500 0.500 0.000

[4]
This entry pairs a crystal structure of ThInRh2 with its simulated powder X-ray diffraction pattern. Radiation: Cu Kα (weighted mean of Kα1 and Kα2). Structure: the PBE geometry in the Materials Project.

The 10 most intense peaks (10 to 90 degrees two-theta), low angle first:
Position (°2θ)  I (rel.)
22.4  84
26.0  65
37.0  1000
43.7  49
45.8  21
53.4  174
58.6  22
60.3  28
66.7  354
78.9  111

Atomic structure:
Cell: 4.855 4.855 4.855 Å, 60.00 60.00 60.00°
Fractional positions:
1 Th 0.000 0.000 0.000
2 In 0.500 0.500 0.500
3 Rh 0.250 0.250 0.250
4 Rh 0.750 0.750 0.750

[5]
This entry pairs a crystal structure of Sb2Au3F18 with its simulated powder X-ray diffraction pattern. Radiation: Cu Kα (weighted mean of Kα1 and Kα2). Structure: the PBE geometry in the Materials Project.

The 10 most intense peaks (10 to 90 degrees two-theta), low angle first:
Position (°2θ)  I (rel.)
10.9  354
21.4  1000
22.3  463
22.7  640
23.2  347
24.1  578
26.7  243
28.1  245
31.7  240
38.2  306

Atomic structure:
Cell: 9.451 8.698 10.387 Å, 90.00 120.42 90.00°
Fractional positions:
1 Sb 0.141 0.124 0.284
2 Sb 0.141 0.376 0.784
3 Sb 0.859 0.624 0.216
4 Sb 0.859 0.876 0.716
5 Au 0.339 0.668 0.133
6 Au 0.339 0.832 0.633
7 Au 0.500 0.000 0.000
8 Au 0.500 0.500 0.500
9 Au 0.661 0.168 0.367
10 Au 0.661 0.332 0.867
11 F 0.020 0.235 0.627
12 F 0.020 0.265 0.127
13 F 0.021 0.603 0.160
14 F 0.021 0.897 0.660
15 F 0.063 0.552 0.662
16 F 0.063 0.948 0.162
17 F 0.250 0.220 0.933
18 F 0.250 0.280 0.433
19 F 0.286 0.529 0.956
20 F 0.286 0.971 0.456
21 F 0.321 0.645 0.512
22 F 0.321 0.855 0.012
23 F 0.328 0.128 0.258
24 F 0.328 0.372 0.758
25 F 0.360 0.013 0.760
26 F 0.360 0.487 0.260
27 F 0.408 0.709 0.808
28 F 0.408 0.791 0.308
29 F 0.592 0.209 0.692
30 F 0.592 0.291 0.192
31 F 0.640 0.513 0.740
32 F 0.640 0.987 0.240
33 F 0.672 0.628 0.242
34 F 0.672 0.872 0.742
35 F 0.679 0.145 0.988
36 F 0.679 0.355 0.488
37 F 0.714 0.029 0.544
38 F 0.714 0.471 0.044
39 F 0.750 0.720 0.567
40 F 0.750 0.780 0.067
41 F 0.937 0.052 0.838
42 F 0.937 0.448 0.338
43 F 0.979 0.103 0.340
44 F 0.979 0.397 0.840
45 F 0.980 0.735 0.873
46 F 0.980 0.765 0.373

[6]
This entry pairs a crystal structure of Rb2TeO3 with its simulated powder X-ray diffraction pattern. Radiation: Cu Kα (weighted mean of Kα1 and Kα2). Structure: the PBE geometry in the Materials Project.

The 10 most intense peaks (10 to 90 degrees two-theta), low angle first:
Position (°2θ)  I (rel.)
26.4  1000
26.7  459
27.1  478
28.6  896
38.4  448
40.2  217
45.5  180
47.4  185
48.8  214
49.6  168

Atomic structure:
Cell: 6.776 6.776 7.675 Å, 94.35 94.35 58.19°
Fractional positions:
1 Rb 0.000 0.000 0.000
2 Rb 0.000 0.000 0.500
3 Rb 0.317 0.317 0.862
4 Rb 0.683 0.683 0.138
5 Te 0.337 0.337 0.340
6 Te 0.663 0.663 0.660
7 O 0.165 0.609 0.212
8 O 0.181 0.181 0.269
9 O 0.391 0.835 0.788
10 O 0.609 0.165 0.212
11 O 0.819 0.819 0.731
12 O 0.835 0.391 0.788

[7]
This entry pairs a crystal structure of CeMgS3 with its simulated powder X-ray diffraction pattern. Radiation: Cu Kα (weighted mean of Kα1 and Kα2). Structure: the PBE geometry in the Materials Project.

The 10 most intense peaks (10 to 90 degrees two-theta), low angle first:
Position (°2θ)  I (rel.)
15.1  519
15.8  556
18.1  355
25.2  717
26.0  557
30.3  1000
36.6  430
40.6  857
45.4  401
45.9  534

Atomic structure:
Cell: 7.061 7.061 7.061 Å, 57.99 57.99 57.99°
Fractional positions:
1 Ce 0.146 0.146 0.146
2 Ce 0.854 0.854 0.854
3 Mg 0.346 0.346 0.346
4 Mg 0.654 0.654 0.654
5 S 0.059 0.458 0.733
6 S 0.267 0.941 0.542
7 S 0.458 0.733 0.059
8 S 0.542 0.267 0.941
9 S 0.733 0.059 0.458
10 S 0.941 0.542 0.267